No. 1
Theoretical PXRD pattern
Compound: Rb2Zn2Br5
Radiation: Cu Kα
Structure: a DFT-relaxed cell (GGA-PBE, Alexandria)
Peak positions follow from Bragg's law for the DFT cell and can differ from measured ones.

Atomic structure:
abc: 7.854 7.854 8.152
angles: 107.50 107.50 41.68
Element x y z (fractional)
Rb: 0.101 0.101 0.309
Rb: 0.899 0.899 0.691
Zn: 0.347 0.347 0.111
Zn: 0.653 0.653 0.889
Br: 0.159 0.159 0.922
Br: 0.351 0.351 0.421
Br: 0.500 0.500 0.000
Br: 0.649 0.649 0.579
Br: 0.841 0.841 0.078

Peak list (12 most intense, 2θ from 5° to 70°, sorted by position)
- 11.5°, I = 37
- 21.8°, I = 40
- 22.5°, I = 33
- 24.5°, I = 41
- 25.6°, I = 58
- 27.1°, I = 86
- 30.1°, I = 81
- 32.0°, I = 100
- 38.3°, I = 27
- 41.1°, I = 41
- 41.5°, I = 31
- 53.1°, I = 36



No. 2
Theoretical PXRD pattern
Compound: UBPb2O6
Radiation: Cu Kα
Structure: a DFT-relaxed cell (GGA-PBE, Alexandria)
Peak positions follow from Bragg's law for the DFT cell and can differ from measured ones.

Atomic structure:
abc: 6.071 6.439 7.330
angles: 107.72 90.22 117.94
Element x y z (fractional)
U: 0.000 0.000 0.000
B: 0.000 0.000 0.500
Pb: 0.330 0.659 0.150
Pb: 0.670 0.341 0.850
O: 0.009 0.010 0.331
O: 0.089 0.714 0.938
O: 0.373 0.285 0.060
O: 0.627 0.715 0.940
O: 0.911 0.286 0.062
O: 0.991 0.990 0.669

Peak list (12 most intense, 2θ from 5° to 70°, sorted by position)
- 12.9°, I = 100
- 19.4°, I = 46
- 28.1°, I = 22
- 28.5°, I = 49
- 29.1°, I = 54
- 29.4°, I = 22
- 32.2°, I = 13
- 34.7°, I = 12
- 35.4°, I = 15
- 35.6°, I = 11
- 46.9°, I = 17
- 52.0°, I = 12



No. 3
Theoretical PXRD pattern
Compound: Sm3DyAl
Radiation: Cu Kα
Structure: a DFT-relaxed cell (GGA-PBE, Alexandria)
Peak positions follow from Bragg's law for the DFT cell and can differ from measured ones.

Atomic structure:
abc: 6.818 6.818 12.535
angles: 95.27 95.27 31.08
Element x y z (fractional)
Sm: 0.036 0.036 0.196
Sm: 0.143 0.143 0.447
Sm: 0.364 0.364 0.020
Sm: 0.636 0.636 0.980
Sm: 0.857 0.857 0.553
Sm: 0.964 0.964 0.804
Dy: 0.219 0.219 0.746
Dy: 0.781 0.781 0.254
Al: 0.449 0.449 0.381
Al: 0.551 0.551 0.619

Peak list (12 most intense, 2θ from 5° to 70°, sorted by position)
- 26.1°, I = 18
- 28.6°, I = 23
- 28.8°, I = 22
- 30.6°, I = 35
- 32.1°, I = 51
- 32.3°, I = 100
- 33.2°, I = 19
- 33.8°, I = 87
- 47.3°, I = 19
- 49.9°, I = 20
- 59.6°, I = 16
- 60.6°, I = 17